Record 1
# Tl2S5
Computed powder diffractogram, Cu Kα, 1.54184 Å. Input: the GGA-PBE geometry in the Materials Project.
Intensities are scaled so that the largest is 100.

Structural model:
```
data_Tl2S5
_chemical_formula_sum 'Tl8 S20'
_symmetry_space_group_name_H-M 'P 1'
_symmetry_Int_Tables_number 1
_cell_length_a 6.8599
_cell_length_b 6.9871
_cell_length_c 17.0776
_cell_angle_alpha 90.00
_cell_angle_beta 90.00
_cell_angle_gamma 90.00
loop_
_symmetry_equiv_pos_as_xyz
'x,y,z'
loop_
_atom_site_label
_atom_site_type_symbol
_atom_site_fract_x
_atom_site_fract_y
_atom_site_fract_z
Tl1 Tl 0.0693 0.1916 0.3523
Tl2 Tl 0.2019 0.3898 0.9680
Tl3 Tl 0.2981 0.6102 0.4680
Tl4 Tl 0.4307 0.8084 0.8523
Tl5 Tl 0.5693 0.3084 0.6477
Tl6 Tl 0.7019 0.1102 0.0320
Tl7 Tl 0.7981 0.8898 0.5320
Tl8 Tl 0.9307 0.6916 0.1477
S1 S 0.0447 0.7526 0.3302
S2 S 0.0742 0.6203 0.6954
S3 S 0.0764 0.9219 0.9746
S4 S 0.0772 0.3718 0.6266
S5 S 0.2403 0.1824 0.1444
S6 S 0.2597 0.8176 0.6444
S7 S 0.4228 0.6282 0.1266
S8 S 0.4236 0.0781 0.4746
S9 S 0.4258 0.3797 0.1954
S10 S 0.4553 0.2474 0.8302
S11 S 0.5447 0.7474 0.6698
S12 S 0.5742 0.8797 0.3046
S13 S 0.5764 0.5781 0.0254
S14 S 0.5772 0.1282 0.3734
S15 S 0.7403 0.3176 0.8556
S16 S 0.7597 0.6824 0.3556
S17 S 0.9228 0.8718 0.8734
S18 S 0.9236 0.4219 0.5254
S19 S 0.9258 0.1203 0.8046
S20 S 0.9553 0.2526 0.1698
```

Top 12 peaks for 10 to 90 degrees two-theta, most intense first:
2θ = 20.92°, I 100.0; 2θ = 29.15°, I 97.9; 2θ = 20.12°, I 63.8; 2θ = 30.43°, I 62.4; 2θ = 29.48°, I 61.1; 2θ = 29.21°, I 44.0; 2θ = 13.91°, I 42.8; 2θ = 31.95°, I 39.6; 2θ = 10.36°, I 38.9; 2θ = 47.52°, I 34.5; 2θ = 30.01°, I 31.4; 2θ = 16.58°, I 28.9

Record 2
# TlS
Computed powder diffractogram, Cu Kα, 1.54184 Å. Input: the GGA-PBE geometry in the Materials Project.
Intensities are scaled so that the largest is 100.

Structural model:
```
data_TlS
_chemical_formula_sum 'Tl6 S6'
_symmetry_space_group_name_H-M 'P 1'
_symmetry_Int_Tables_number 1
_cell_length_a 4.0557
_cell_length_b 4.0557
_cell_length_c 21.9035
_cell_angle_alpha 90.00
_cell_angle_beta 90.00
_cell_angle_gamma 120.00
loop_
_symmetry_equiv_pos_as_xyz
'x,y,z'
loop_
_atom_site_label
_atom_site_type_symbol
_atom_site_fract_x
_atom_site_fract_y
_atom_site_fract_z
Tl1 Tl 0.0000 0.0000 0.0000
Tl2 Tl 0.0000 0.0000 0.5000
Tl3 Tl 0.3333 0.6667 0.1667
Tl4 Tl 0.3333 0.6667 0.6667
Tl5 Tl 0.6667 0.3333 0.3333
Tl6 Tl 0.6667 0.3333 0.8333
S1 S 0.0000 0.0000 0.2355
S2 S 0.0000 0.0000 0.7645
S3 S 0.3333 0.6667 0.4312
S4 S 0.3333 0.6667 0.9021
S5 S 0.6667 0.3333 0.0979
S6 S 0.6667 0.3333 0.5688
```

Top 12 peaks for 10 to 90 degrees two-theta, most intense first:
2θ = 30.23°, I 100.0; 2θ = 26.65°, I 70.0; 2θ = 41.83°, I 39.1; 2θ = 44.69°, I 34.8; 2θ = 24.38°, I 30.5; 2θ = 51.56°, I 26.1; 2θ = 54.90°, I 18.7; 2θ = 69.26°, I 16.4; 2θ = 49.01°, I 16.4; 2θ = 73.39°, I 15.9; 2θ = 80.39°, I 11.9; 2θ = 52.80°, I 11.9

Record 3
# TmTlS2
Computed powder diffractogram, Cu Kα, 1.54184 Å. Input: the GGA-PBE geometry in the Materials Project.
Intensities are scaled so that the largest is 100.

Structural model:
```
data_TmTlS2
_chemical_formula_sum 'Tm3 Tl3 S6'
_symmetry_space_group_name_H-M 'P 1'
_symmetry_Int_Tables_number 1
_cell_length_a 3.9833
_cell_length_b 3.9833
_cell_length_c 22.5654
_cell_angle_alpha 90.00
_cell_angle_beta 90.00
_cell_angle_gamma 120.00
loop_
_symmetry_equiv_pos_as_xyz
'x,y,z'
loop_
_atom_site_label
_atom_site_type_symbol
_atom_site_fract_x
_atom_site_fract_y
_atom_site_fract_z
Tm1 Tm 0.0000 0.0000 0.0000
Tm2 Tm 0.3333 0.6667 0.6667
Tm3 Tm 0.6667 0.3333 0.3333
Tl1 Tl 0.0000 0.0000 0.5000
Tl2 Tl 0.3333 0.6667 0.1667
Tl3 Tl 0.6667 0.3333 0.8333
S1 S 0.0000 0.0000 0.2685
S2 S 0.0000 0.0000 0.7315
S3 S 0.3333 0.6667 0.3982
S4 S 0.3333 0.6667 0.9351
S5 S 0.6667 0.3333 0.0649
S6 S 0.6667 0.3333 0.6018
```

Top 12 peaks for 10 to 90 degrees two-theta, most intense first:
2θ = 30.37°, I 100.0; 2θ = 27.03°, I 65.8; 2θ = 41.35°, I 39.3; 2θ = 45.54°, I 33.6; 2θ = 23.66°, I 33.2; 2θ = 51.95°, I 25.6; 2θ = 48.19°, I 18.2; 2θ = 55.73°, I 17.9; 2θ = 68.64°, I 15.5; 2θ = 74.72°, I 15.1; 2θ = 63.19°, I 11.3; 2θ = 81.29°, I 11.2

Record 4
# Tl3V24S32
Computed powder diffractogram, Cu Kα, 1.54184 Å. Input: the GGA-PBE geometry in the Materials Project.
Intensities are scaled so that the largest is 100.

Structural model:
```
data_Tl3V24S32
_chemical_formula_sum 'Tl3 V24 S32'
_symmetry_space_group_name_H-M 'P 1'
_symmetry_Int_Tables_number 1
_cell_length_a 9.1237
_cell_length_b 9.2690
_cell_length_c 13.8722
_cell_angle_alpha 71.05
_cell_angle_beta 76.49
_cell_angle_gamma 88.38
loop_
_symmetry_equiv_pos_as_xyz
'x,y,z'
loop_
_atom_site_label
_atom_site_type_symbol
_atom_site_fract_x
_atom_site_fract_y
_atom_site_fract_z
Tl1 Tl 0.0000 0.0000 0.0000
Tl2 Tl 0.2959 0.1571 0.3414
Tl3 Tl 0.6667 0.5915 0.6747
V1 V 0.0283 0.9380 0.3625
V2 V 0.0390 0.4449 0.5092
V3 V 0.0900 0.9657 0.6790
V4 V 0.1312 0.6087 0.6359
V5 V 0.1951 0.4004 0.1073
V6 V 0.2154 0.7070 0.1707
V7 V 0.2359 0.2871 0.6336
V8 V 0.2437 0.7961 0.8679
V9 V 0.3082 0.3275 0.9163
V10 V 0.4050 0.6308 0.5799
V11 V 0.4561 0.6457 0.3107
V12 V 0.4602 0.9666 0.0915
V13 V 0.5399 0.9601 0.4878
V14 V 0.5547 0.4620 0.0111
V15 V 0.5891 0.9614 0.8625
V16 V 0.6303 0.5772 0.1360
V17 V 0.6481 0.2264 0.6573
V18 V 0.6510 0.9890 0.6382
V19 V 0.7136 0.2214 0.4275
V20 V 0.7571 0.2278 0.8087
V21 V 0.8292 0.6516 0.3982
V22 V 0.8501 0.1550 0.2050
V23 V 0.8765 0.6793 0.2059
V24 V 0.8781 0.5455 0.9562
S1 S 0.0043 0.2353 0.2812
S2 S 0.0453 0.5498 0.3152
S3 S 0.0490 0.6329 0.0651
S4 S 0.0537 0.3175 0.0018
S5 S 0.0555 0.7007 0.7933
S6 S 0.1119 0.1885 0.5347
S7 S 0.1972 0.0531 0.7782
S8 S 0.2817 0.8581 0.2642
S9 S 0.2855 0.8612 0.5667
S10 S 0.2949 0.4459 0.7343
S11 S 0.2972 0.5155 0.4844
S12 S 0.3386 0.8743 0.9989
S13 S 0.3485 0.5526 0.9392
S14 S 0.3757 0.5068 0.1951
S15 S 0.3951 0.2234 0.0739
S16 S 0.4847 0.1670 0.5604
S17 S 0.4848 0.8298 0.7651
S18 S 0.4993 0.2078 0.8181
S19 S 0.5830 0.7509 0.4228
S20 S 0.6129 0.1281 0.3179
S21 S 0.6391 0.8056 0.1717
S22 S 0.6734 0.7101 0.9578
S23 S 0.6804 0.4896 0.3100
S24 S 0.6920 0.0622 0.9733
S25 S 0.7359 0.3634 0.1080
S26 S 0.7363 0.4383 0.8693
S27 S 0.7869 0.3927 0.5080
S28 S 0.8087 0.9875 0.4850
S29 S 0.8244 0.0358 0.7282
S30 S 0.9023 0.8944 0.2513
S31 S 0.9732 0.7034 0.5079
S32 S 0.9898 0.3700 0.6970
```

Top 12 peaks for 10 to 90 degrees two-theta, most intense first:
2θ = 24.37°, I 100.0; 2θ = 42.57°, I 77.5; 2θ = 25.33°, I 75.4; 2θ = 13.48°, I 75.1; 2θ = 19.59°, I 71.5; 2θ = 23.92°, I 61.0; 2θ = 41.19°, I 60.7; 2θ = 36.13°, I 57.0; 2θ = 32.52°, I 55.9; 2θ = 27.12°, I 55.8; 2θ = 32.03°, I 54.5; 2θ = 31.39°, I 54.5

Record 5
# Tl3V24S32
Computed powder diffractogram, Cu Kα, 1.54184 Å. Input: the GGA-PBE geometry in the Materials Project.
Intensities are scaled so that the largest is 100.

Structural model:
```
data_Tl3V24S32
_chemical_formula_sum 'Tl3 V24 S32'
_symmetry_space_group_name_H-M 'P 1'
_symmetry_Int_Tables_number 1
_cell_length_a 9.2027
_cell_length_b 9.2364
_cell_length_c 13.7103
_cell_angle_alpha 105.92
_cell_angle_beta 103.31
_cell_angle_gamma 90.83
loop_
_symmetry_equiv_pos_as_xyz
'x,y,z'
loop_
_atom_site_label
_atom_site_type_symbol
_atom_site_fract_x
_atom_site_fract_y
_atom_site_fract_z
Tl1 Tl 0.0000 0.0000 0.0000
Tl2 Tl 0.2548 0.1735 0.6747
Tl3 Tl 0.5953 0.5878 0.3475
V1 V 0.0120 0.3834 0.5495
V2 V 0.0385 0.9178 0.3162
V3 V 0.0668 0.4711 0.8611
V4 V 0.0900 0.7777 0.7821
V5 V 0.1303 0.5799 0.3259
V6 V 0.1994 0.2480 0.3423
V7 V 0.2364 0.7533 0.1976
V8 V 0.2457 0.2731 0.0638
V9 V 0.3938 0.6340 0.6389
V10 V 0.4193 0.4951 0.8725
V11 V 0.4562 0.0390 0.8763
V12 V 0.4698 0.5434 0.0557
V13 V 0.5033 0.9642 0.4989
V14 V 0.5629 0.9580 0.0965
V15 V 0.5922 0.9564 0.3387
V16 V 0.6185 0.1892 0.3123
V17 V 0.6577 0.6083 0.8146
V18 V 0.6812 0.2252 0.5470
V19 V 0.7112 0.7242 0.6737
V20 V 0.7338 0.2161 0.1635
V21 V 0.8127 0.2087 0.7795
V22 V 0.8174 0.5363 0.9980
V23 V 0.8609 0.5450 0.2649
V24 V 0.9577 0.8498 0.5874
S1 S 0.0877 0.1471 0.4518
S2 S 0.1627 0.0028 0.2073
S3 S 0.2059 0.4875 0.4808
S4 S 0.2149 0.8486 0.6608
S5 S 0.2249 0.5486 0.7486
S6 S 0.2301 0.6161 0.0137
S7 S 0.2759 0.8225 0.3814
S8 S 0.2970 0.4466 0.2344
S9 S 0.2976 0.9237 0.9389
S10 S 0.3652 0.2916 0.9322
S11 S 0.4473 0.1581 0.4132
S12 S 0.4684 0.1830 0.1543
S13 S 0.4876 0.7824 0.1845
S14 S 0.5212 0.7313 0.5349
S15 S 0.5503 0.8193 0.7811
S16 S 0.5776 0.1165 0.6641
S17 S 0.6002 0.4757 0.6386
S18 S 0.6046 0.6983 0.9842
S19 S 0.6450 0.3779 0.8537
S20 S 0.6856 0.0609 0.9950
S21 S 0.6886 0.4312 0.1072
S22 S 0.7575 0.9777 0.4967
S23 S 0.7791 0.0094 0.2443
S24 S 0.7825 0.3518 0.4395
S25 S 0.8902 0.9542 0.7489
S26 S 0.9133 0.6675 0.8793
S27 S 0.9212 0.6257 0.6196
S28 S 0.9324 0.3085 0.6846
S29 S 0.9627 0.7428 0.4092
S30 S 0.9765 0.3218 0.2477
S31 S 0.9801 0.6716 0.1724
S32 S 0.9818 0.3233 0.9561
```

Top 12 peaks for 10 to 90 degrees two-theta, most intense first:
2θ = 24.55°, I 100.0; 2θ = 32.71°, I 42.6; 2θ = 20.82°, I 42.3; 2θ = 36.56°, I 38.9; 2θ = 27.81°, I 32.5; 2θ = 21.71°, I 32.4; 2θ = 31.04°, I 30.8; 2θ = 35.87°, I 28.6; 2θ = 19.41°, I 28.0; 2θ = 30.69°, I 27.2; 2θ = 19.27°, I 27.2; 2θ = 14.60°, I 26.3

Record 6
# Tl3V24S32
Computed powder diffractogram, Cu Kα, 1.54184 Å. Input: the GGA-PBE geometry in the Materials Project.
Intensities are scaled so that the largest is 100.

Structural model:
```
data_Tl3V24S32
_chemical_formula_sum 'Tl3 V24 S32'
_symmetry_space_group_name_H-M 'P 1'
_symmetry_Int_Tables_number 1
_cell_length_a 9.1808
_cell_length_b 9.4156
_cell_length_c 12.0531
_cell_angle_alpha 92.65
_cell_angle_beta 96.14
_cell_angle_gamma 97.65
loop_
_symmetry_equiv_pos_as_xyz
'x,y,z'
loop_
_atom_site_label
_atom_site_type_symbol
_atom_site_fract_x
_atom_site_fract_y
_atom_site_fract_z
Tl1 Tl 0.0000 0.0000 0.0000
Tl2 Tl 0.2320 0.2704 0.7469
Tl3 Tl 0.6444 0.6529 0.3822
V1 V 0.0246 0.6497 0.3140
V2 V 0.0655 0.0244 0.5579
V3 V 0.0879 0.5661 0.5696
V4 V 0.0918 0.0831 0.3370
V5 V 0.2187 0.8298 0.7973
V6 V 0.2258 0.5626 0.8893
V7 V 0.2764 0.3678 0.3197
V8 V 0.3272 0.9557 0.1405
V9 V 0.3456 0.7336 0.2696
V10 V 0.3594 0.3116 0.0774
V11 V 0.4214 0.1221 0.4883
V12 V 0.4553 0.7629 0.5990
V13 V 0.5048 0.0900 0.7944
V14 V 0.5424 0.6459 0.0673
V15 V 0.5569 0.9522 0.0127
V16 V 0.6140 0.5587 0.8264
V17 V 0.6518 0.0905 0.3195
V18 V 0.7558 0.3637 0.5664
V19 V 0.7927 0.3443 0.2800
V20 V 0.7982 0.9186 0.5809
V21 V 0.8129 0.2567 0.7806
V22 V 0.8308 0.3140 0.0790
V23 V 0.8344 0.7980 0.7714
V24 V 0.9945 0.5569 0.0472
S1 S 0.0070 0.7846 0.6342
S2 S 0.0240 0.7043 0.8862
S3 S 0.0362 0.4198 0.2206
S4 S 0.1156 0.3683 0.9813
S5 S 0.1272 0.7578 0.1605
S6 S 0.2031 0.2458 0.4821
S7 S 0.2190 0.1629 0.1856
S8 S 0.2617 0.6121 0.4301
S9 S 0.3009 0.9620 0.3401
S10 S 0.3016 0.6262 0.7149
S11 S 0.3159 0.9758 0.6409
S12 S 0.3490 0.7768 0.9840
S13 S 0.3501 0.0813 0.9463
S14 S 0.3997 0.5170 0.1958
S15 S 0.4450 0.4530 0.9350
S16 S 0.5568 0.8754 0.1981
S17 S 0.5657 0.3061 0.3978
S18 S 0.5759 0.9353 0.4717
S19 S 0.5798 0.2847 0.6897
S20 S 0.5917 0.2253 0.1464
S21 S 0.6299 0.9156 0.7201
S22 S 0.6717 0.6177 0.6445
S23 S 0.6931 0.7729 0.9424
S24 S 0.7251 0.1290 0.9333
S25 S 0.7705 0.5476 0.1580
S26 S 0.7976 0.4444 0.9159
S27 S 0.8427 0.1461 0.4968
S28 S 0.8680 0.1228 0.2262
S29 S 0.8870 0.4978 0.4365
S30 S 0.9489 0.0540 0.7364
S31 S 0.9614 0.8752 0.3986
S32 S 0.9726 0.4143 0.6926
```

Top 12 peaks for 10 to 90 degrees two-theta, most intense first:
2θ = 39.74°, I 100.0; 2θ = 39.48°, I 46.1; 2θ = 37.79°, I 41.3; 2θ = 25.48°, I 38.9; 2θ = 34.79°, I 36.2; 2θ = 33.38°, I 35.1; 2θ = 24.94°, I 33.4; 2θ = 25.12°, I 32.0; 2θ = 23.06°, I 31.7; 2θ = 38.95°, I 29.3; 2θ = 25.24°, I 28.0; 2θ = 38.63°, I 27.4